The following is a computed X-ray powder pattern of CeSmTlOs. It was derived from a PBE-relaxed structure, using Cu Ka.
Kinematic intensities with the Lorentz-polarization factor, no thermal factor.

Peak list (10 most intense, 2θ = 15–90°, most intense first)
2θ 33.54, d = 2.672 Å, I 100, (1 0 2)
2θ 37.43, d = 2.403 Å, I 43, (1 1 0)
2θ 65.06, d = 1.434 Å, I 30, (2 1 2)
2θ 53.97, d = 1.699 Å, I 15, (2 0 0)
2θ 57.31, d = 1.608 Å, I 14, (1 1 4)
2θ 41.75, d = 2.163 Å, I 9, (0 0 4)
2θ 70.48, d = 1.336 Å, I 7, (2 0 4)
2θ 89.43, d = 1.096 Å, I 7, (3 0 2)
2θ 41.05, d = 2.199 Å, I 6, (1 0 3)
2θ 49.98, d = 1.825 Å, I 6, (1 0 4)

Atomic structure:
Unit cell a=3.398 b=3.398 c=8.653 alpha=90.00 beta=90.00 gamma=90.00
Fractional positions:
Ce (0.000, 0.000, 0.000)
Sm (0.000, 0.000, 0.407)
Tl (0.500, 0.500, 0.702)
Os (0.500, 0.500, 0.197)